Record 1
The following is a calculated powder diffractogram of Th2TaSe2Br4. It was derived from DFT lattice parameters and positions (GGA-PBE), using λ = 1.5418 Å (Cu Kα).
Lines closer than 0.1° are merged.

Crystal structure
abc: 3.6668 3.6668 23.5492
angles: 90.00 90.00 120.00
Space group P3m1 (No. 156)
Unique sites:
Th 0.0000 0.0000 0.0000 [1 per cell]
Th 0.3333 0.6667 0.3502 [1 per cell]
Ta 0.3333 0.6667 0.6850 [1 per cell]
Se 0.0000 0.0000 0.6163 [1 per cell]
Se 0.0000 0.0000 0.7537 [1 per cell]
Br 0.0000 0.0000 0.2577 [1 per cell]
Br 0.0000 0.0000 0.4421 [1 per cell]
Br 0.3333 0.6667 0.0925 [1 per cell]
Br 0.3333 0.6667 0.9082 [1 per cell]

Most intense lines, 2θ from 10° to 80°, low angle first:
- 2θ = 11.3°, I = 100, (0 0 3)
- 2θ = 28.1°, I = 32, (1 0 0)
- 2θ = 30.4°, I = 22, (0 1 3)
- 2θ = 32.0°, I = 42, (1 0 4)
- 2θ = 34.1°, I = 42, (1 0 5)
- 2θ = 36.4°, I = 17, (0 1 6)
- 2θ = 39.0°, I = 22, (0 1 7)
- 2θ = 41.8°, I = 16, (1 0 8)
- 2θ = 49.7°, I = 26, (1 1 0)
- 2θ = 51.2°, I = 15, (1 1 3)

Record 2
The following is a calculated powder diffractogram of Mg2CdPd5. It was derived from DFT lattice parameters and positions (GGA-PBE), using λ = 1.5418 Å (Cu Kα).
Lines closer than 0.1° are merged.

Crystal structure
abc: 5.601 11.102 4.180
angles: 90.00 90.00 90.00
Space group Pbam (No. 55)
Unique sites:
Mg 0.198 0.136 0.000 [4 per cell]
Cd 0.000 0.500 0.500 [2 per cell]
Pd 0.000 0.000 0.500 [2 per cell]
Pd 0.058 0.749 0.500 [4 per cell]
Pd 0.213 0.381 0.000 [4 per cell]

Most intense lines, 2θ from 10° to 80°, low angle first:
- 2θ = 21.3°, I = 14, (0 0 1)
- 2θ = 22.6°, I = 22, (1 2 0)
- 2θ = 31.2°, I = 20, (1 2 1)
- 2θ = 38.7°, I = 79, (2 0 1)
- 2θ = 39.0°, I = 100, (0 4 1)
- 2θ = 39.6°, I = 21, (2 1 1)
- 2θ = 43.3°, I = 37, (0 0 2)
- 2θ = 46.0°, I = 48, (2 4 0)
- 2θ = 65.0°, I = 33, (2 4 2)
- 2θ = 67.5°, I = 14, (0 8 0)